The following is a theoretical powder XRD pattern of Lu3Co. It was derived from a structure optimized by DFT (PBE), using Cu Kα.

The 10 most intense peaks (2θ = 10–90°), low angle first:
2θ (°), intensity, hkl
31.59, 47, 2 1 1
32.05, 47, 1 0 2
32.80, 58, 2 2 0
32.93, 100, 0 3 1
33.57, 69, 1 1 2
35.53, 39, 1 3 1
36.01, 60, 2 2 1
55.95, 49, 4 0 1
59.04, 31, 3 3 2
61.03, 35, 0 6 0

Structure:
```
data_Lu3Co
_cell_length_a 6.824
_cell_length_b 9.108
_cell_length_c 6.121
_cell_angle_alpha 90.00
_cell_angle_beta 90.00
_cell_angle_gamma 90.00
_symmetry_space_group_name_H-M 'P n m a'
_symmetry_Int_Tables_number 62
_symmetry_space_group_name_Hall '-P 2ac 2n'
loop_
_atom_site_label
_atom_site_type_symbol
_atom_site_fract_x
_atom_site_fract_y
_atom_site_fract_z
Lu1 Lu 0.040 0.250 0.134
Lu2 Lu 0.177 0.065 0.677
Co1 Co 0.111 0.750 0.451
```



The following is a theoretical powder XRD pattern of Mg6CdGa. It was derived from a structure optimized by DFT (PBE), using Cu Kα.

The 10 most intense peaks (2θ = 10–90°), low angle first:
2θ (°), intensity, hkl
16.36, 58, 0 1 1
23.95, 50, 1 0 2
33.06, 21, 0 2 2
33.49, 28, 1 1 3
35.31, 38, 2 0 0
37.36, 44, 1 0 4
37.61, 100, 1 2 2
58.68, 16, 0 2 6
64.90, 19, 3 2 2
70.37, 18, 2 2 6

Structure:
```
data_Mg6CdGa
_cell_length_a 5.084
_cell_length_b 6.241
_cell_length_c 10.932
_cell_angle_alpha 90.00
_cell_angle_beta 90.00
_cell_angle_gamma 90.00
_symmetry_space_group_name_H-M 'A m m 2'
_symmetry_Int_Tables_number 38
_symmetry_space_group_name_Hall 'A 2 -2'
loop_
_atom_site_label
_atom_site_type_symbol
_atom_site_fract_x
_atom_site_fract_y
_atom_site_fract_z
Mg1 Mg 0.000 0.000 0.000
Mg2 Mg 0.000 0.246 0.253
Mg3 Mg 0.500 0.000 0.834
Mg4 Mg 0.500 0.249 0.582
Cd1 Cd 0.000 0.000 0.504
Ga1 Ga 0.500 0.000 0.327
```



The following is a theoretical powder XRD pattern of TeMoWSeS2. It was derived from a structure optimized by DFT (PBE), using Cu Kα.

The 10 most intense peaks (2θ = 10–90°), low angle first:
2θ (°), intensity, hkl
11.76, 100, 0 0 5
14.12, 24, 0 0 6
31.25, 39, 1 0 0
31.61, 12, 0 1 2
33.48, 15, 1 0 5
36.75, 79, 1 0 8
44.51, 41, 0 1 13
46.33, 14, 1 0 14
55.60, 26, 1 1 0
68.51, 13, 0 2 8

Structure:
```
data_TeMoWSeS2
_cell_length_a 3.3064
_cell_length_b 3.3064
_cell_length_c 37.6298
_cell_angle_alpha 90.00
_cell_angle_beta 90.00
_cell_angle_gamma 120.00
_symmetry_space_group_name_H-M 'P 3 m 1'
_symmetry_Int_Tables_number 156
_symmetry_space_group_name_Hall 'P 3 -2"'
loop_
_atom_site_label
_atom_site_type_symbol
_atom_site_fract_x
_atom_site_fract_y
_atom_site_fract_z
Te1 Te 0.0000 0.0000 0.0000
Te2 Te 0.0000 0.0000 0.1015
Mo1 Mo 0.6667 0.3333 0.0507
Mo2 Mo 0.6667 0.3333 0.4265
W1 W 0.0000 0.0000 0.2387
W2 W 0.0000 0.0000 0.6144
Se1 Se 0.6667 0.3333 0.1939
Se2 Se 0.6667 0.3333 0.2836
S1 S 0.0000 0.0000 0.3859
S2 S 0.0000 0.0000 0.4672
S3 S 0.6667 0.3333 0.5737
S4 S 0.6667 0.3333 0.6552
```



The following is a theoretical powder XRD pattern of CsSnI3. It was derived from a structure optimized by DFT (PBE), using Cu Kα.

The 10 most intense peaks (2θ = 10–90°), low angle first:
2θ (°), intensity, hkl
24.99, 54, 1 1 3
25.25, 72, 2 1 1
25.68, 32, 2 0 4
25.91, 41, 1 0 5
26.67, 100, 2 1 2
30.81, 25, 0 1 5
36.96, 21, 3 1 4
37.21, 35, 0 2 0
40.36, 24, 1 1 7
52.00, 18, 3 0 9

Structure:
```
data_CsSnI3
_cell_length_a 10.765
_cell_length_b 4.832
_cell_length_c 18.147
_cell_angle_alpha 90.00
_cell_angle_beta 90.00
_cell_angle_gamma 90.00
_symmetry_space_group_name_H-M 'P n m a'
_symmetry_Int_Tables_number 62
_symmetry_space_group_name_Hall '-P 2ac 2n'
loop_
_atom_site_label
_atom_site_type_symbol
_atom_site_fract_x
_atom_site_fract_y
_atom_site_fract_z
Cs1 Cs 0.083 0.250 0.170
Sn1 Sn 0.158 0.750 0.439
I1 I 0.026 0.750 0.612
I2 I 0.168 0.750 0.999
I3 I 0.207 0.250 0.792
```